(1)
Starting from the PBE geometry in Alexandria, the PXRD pattern of Dy2Pd4Pt was calculated for a wavelength of 1.5418 Å.
Lines closer than 0.1° are merged.

```
data_Dy2Pd4Pt
_cell_length_a 11.026
_cell_length_b 5.394
_cell_length_c 9.214
_cell_angle_alpha 90.00
_cell_angle_beta 90.00
_cell_angle_gamma 90.00
_space_group_name_H-M_alt 'C m c e'
_space_group_IT_number 64
_space_group_name_Hall '-C 2ac 2'
loop_
_atom_site_label
_atom_site_fract_x
_atom_site_fract_y
_atom_site_fract_z
Dy1 0.145 0.000 0.000
Pd1 0.000 0.243 0.248
Pd2 0.250 0.247 0.750
Pt1 0.000 0.000 0.500
```

Most intense lines, 10° ≤ 2θ ≤ 90°, by angle:
| (hkl) | Position (°2θ) | I (rel.) |
| --- | --- | --- |
| 3 1 1 | 31.0 | 96 |
| 4 0 2 | 38.0 | 32 |
| 0 2 2 | 38.7 | 100 |
| 0 0 4 | 39.1 | 49 |
| 3 1 3 | 41.8 | 43 |
| 4 2 0 | 47.1 | 17 |
| 3 3 1 | 58.0 | 16 |
| 3 1 5 | 58.6 | 16 |
| 0 2 6 | 70.6 | 17 |
| 8 2 2 | 81.1 | 19 |

(2)
Starting from the PBE geometry in Alexandria, the PXRD pattern of ReAgPb2 was calculated for a wavelength of 1.5418 Å.
Lines closer than 0.1° are merged.

```
data_ReAgPb2
_cell_length_a 3.494
_cell_length_b 3.494
_cell_length_c 7.443
_cell_angle_alpha 90.00
_cell_angle_beta 90.00
_cell_angle_gamma 90.00
_space_group_name_H-M_alt 'P 4 m m'
_space_group_IT_number 99
loop_
_space_group_symop_operation_xyz
'x,y,z'
'-y,x,z'
'-x,-y,z'
'y,-x,z'
'-x,y,z'
'y,x,z'
'x,-y,z'
'-y,-x,z'
loop_
_atom_site_label
_atom_site_fract_x
_atom_site_fract_y
_atom_site_fract_z
Re1 0.000 0.000 0.000
Ag1 0.500 0.500 0.191
Pb1 0.000 0.000 0.417
Pb2 0.500 0.500 0.786
```

Most intense lines, 10° ≤ 2θ ≤ 90°, by angle:
| (hkl) | Position (°2θ) | I (rel.) |
| --- | --- | --- |
| 1 0 1 | 28.2 | 24 |
| 1 0 2 | 35.2 | 100 |
| 1 1 0 | 36.4 | 69 |
| 1 0 3 | 44.8 | 28 |
| 2 0 0 | 52.4 | 24 |
| 2 1 2 | 64.7 | 35 |
| 2 1 3 | 71.3 | 14 |
| 1 1 5 | 74.4 | 17 |
| 2 0 5 | 85.7 | 11 |
| 3 1 0 | 88.5 | 14 |

(3)
Starting from the PBE geometry in Alexandria, the PXRD pattern of Pr2HfS5 was calculated for a wavelength of 1.5418 Å.
Lines closer than 0.1° are merged.

```
data_Pr2HfS5
_cell_length_a 11.633
_cell_length_b 8.066
_cell_length_c 7.412
_cell_angle_alpha 90.00
_cell_angle_beta 90.00
_cell_angle_gamma 90.00
_space_group_name_H-M_alt 'P n m a'
_space_group_IT_number 62
loop_
_space_group_symop_operation_xyz
'x,y,z'
'-x,-y,-z'
'-x+1/2,-y,z+1/2'
'x+1/2,y,-z+1/2'
'x+1/2,-y+1/2,-z+1/2'
'-x+1/2,y+1/2,z+1/2'
'-x,y+1/2,-z'
'x,-y+1/2,z'
loop_
_atom_site_label
_atom_site_fract_x
_atom_site_fract_y
_atom_site_fract_z
Pr1 0.175 0.001 0.041
Hf1 0.008 0.750 0.573
S1 0.005 0.750 0.940
S2 0.081 0.035 0.667
S3 0.185 0.750 0.349
S4 0.205 0.250 0.328
```

Most intense lines, 10° ≤ 2θ ≤ 90°, by angle:
| (hkl) | Position (°2θ) | I (rel.) |
| --- | --- | --- |
| 0 0 2 | 24.0 | 44 |
| 3 0 1 | 25.9 | 100 |
| 1 2 1 | 26.3 | 80 |
| 2 2 0 | 26.9 | 58 |
| 1 2 2 | 33.7 | 30 |
| 2 2 2 | 36.4 | 61 |
| 4 2 0 | 38.1 | 40 |
| 0 4 0 | 45.0 | 30 |
| 5 2 1 | 46.7 | 43 |
| 3 4 1 | 52.6 | 39 |

(4)
Starting from the PBE geometry in Alexandria, the PXRD pattern of AcAgAuO was calculated for a wavelength of 1.5418 Å.
Lines closer than 0.1° are merged.

```
data_AcAgAuO
_cell_length_a 4.274
_cell_length_b 4.274
_cell_length_c 9.777
_cell_angle_alpha 90.00
_cell_angle_beta 90.00
_cell_angle_gamma 90.00
_space_group_name_H-M_alt 'P 4/n m m'
_space_group_IT_number 129
loop_
_space_group_symop_operation_xyz
'x,y,z'
'-x,-y,-z'
'-y+1/2,x,z'
'y+1/2,-x,-z'
'-x+1/2,-y+1/2,z'
'x+1/2,y+1/2,-z'
'y,-x+1/2,z'
'-y,x+1/2,-z'
'x+1/2,-y,-z'
'-x+1/2,y,z'
'-y,-x,-z'
'y,x,z'
'-x,y+1/2,-z'
'x,-y+1/2,z'
'y+1/2,x+1/2,-z'
'-y+1/2,-x+1/2,z'
loop_
_atom_site_label
_atom_site_fract_x
_atom_site_fract_y
_atom_site_fract_z
Ac1 0.250 0.250 0.129
Ag1 0.250 0.750 0.500
Au1 0.250 0.250 0.689
O1 0.250 0.750 0.000
```

Most intense lines, 10° ≤ 2θ ≤ 90°, by angle:
| (hkl) | Position (°2θ) | I (rel.) |
| --- | --- | --- |
| 1 0 2 | 27.7 | 100 |
| 1 1 0 | 29.6 | 27 |
| 1 1 1 | 31.0 | 18 |
| 1 0 3 | 34.6 | 22 |
| 1 1 2 | 34.9 | 35 |
| 2 0 0 | 42.3 | 38 |
| 1 1 4 | 47.9 | 21 |
| 2 1 2 | 51.3 | 40 |
| 2 2 0 | 61.4 | 13 |
| 2 0 5 | 64.6 | 13 |

(5)
Starting from the PBE geometry in Alexandria, the PXRD pattern of Ba2Li5Ag12 was calculated for a wavelength of 1.5418 Å.
Lines closer than 0.1° are merged.

```
data_Ba2Li5Ag12
_cell_length_a 9.7441
_cell_length_b 9.7441
_cell_length_c 14.2713
_cell_angle_alpha 90.00
_cell_angle_beta 90.00
_cell_angle_gamma 120.00
_space_group_name_H-M_alt 'R -3 m'
_space_group_IT_number 166
_space_group_name_Hall '-R 3 2"'
loop_
_atom_site_label
_atom_site_fract_x
_atom_site_fract_y
_atom_site_fract_z
Ba1 0.0000 0.0000 0.1474
Li1 0.0000 0.0000 0.4102
Li2 0.0000 0.5000 0.0000
Ag1 0.0000 0.2939 0.5000
Ag2 0.0163 0.5081 0.3449
```

Most intense lines, 10° ≤ 2θ ≤ 90°, by angle:
| (hkl) | Position (°2θ) | I (rel.) |
| --- | --- | --- |
| 1 1 0 | 18.2 | 20 |
| 2 0 2 | 24.5 | 30 |
| 2 1 1 | 28.7 | 35 |
| 3 0 0 | 31.8 | 25 |
| 0 2 4 | 32.9 | 48 |
| 2 2 0 | 36.9 | 21 |
| 3 0 3 | 37.1 | 100 |
| 0 0 6 | 37.8 | 34 |
| 2 2 3 | 41.7 | 32 |
| 2 1 7 | 53.3 | 16 |

(6)
Starting from the PBE geometry in Alexandria, the PXRD pattern of Ac2Fe5C4 was calculated for a wavelength of 1.5418 Å.
Lines closer than 0.1° are merged.

```
data_Ac2Fe5C4
_cell_length_a 5.142
_cell_length_b 9.779
_cell_length_c 10.473
_cell_angle_alpha 90.00
_cell_angle_beta 90.00
_cell_angle_gamma 90.00
_space_group_name_H-M_alt 'F m m m'
_space_group_IT_number 69
_space_group_name_Hall '-F 2 2'
loop_
_atom_site_label
_atom_site_fract_x
_atom_site_fract_y
_atom_site_fract_z
Ac1 0.000 0.000 0.148
Fe1 0.000 0.000 0.500
Fe2 0.250 0.250 0.000
Fe3 0.250 0.250 0.250
C1 0.000 0.169 0.373
```

Most intense lines, 10° ≤ 2θ ≤ 90°, by angle:
| (hkl) | Position (°2θ) | I (rel.) |
| --- | --- | --- |
| 0 2 0 | 18.1 | 25 |
| 1 1 1 | 21.3 | 45 |
| 1 1 3 | 32.3 | 100 |
| 1 3 1 | 33.7 | 23 |
| 0 4 0 | 36.8 | 44 |
| 0 2 4 | 39.0 | 40 |
| 2 2 0 | 39.6 | 70 |
| 1 3 3 | 41.8 | 60 |
| 2 0 4 | 49.7 | 24 |
| 1 5 3 | 56.9 | 21 |